Diffraction record for BaSeS4O8. The XRD peak list is theoretical, not measured: it uses a PBE-relaxed structure and λ = 1.5418 Å (Cu Kα).

The 10 most intense peaks (10 to 80 degrees two-theta), low angle first:
2θ/deg, I/Imax, index
14.20, 76, 0 1 3
19.16, 94, 1 1 1
20.35, 74, 1 0 3
20.95, 72, 0 1 5
22.76, 31, 0 2 4
25.00, 100, 1 2 2
28.64, 52, 0 2 6
30.94, 28, 0 0 8
33.37, 26, 1 2 6
51.28, 33, 2 3 7

Structural model:
Cell lengths 5.2790, 10.6194, 23.1224 Å; angles 90.00, 90.00, 90.00 degrees
Space group Pnma (No. 62)
Unique sites:
Ba1 0.2182 0.2500 0.0434 [4 per cell]
Se1 0.0402 0.2500 0.6732 [4 per cell]
S1 0.1860 0.5105 0.4102 [8 per cell]
S2 0.2077 0.5845 0.3219 [8 per cell]
O1 0.0828 0.5050 0.5766 [8 per cell]
O2 0.1715 0.7500 0.6649 [4 per cell]
O3 0.1786 0.6092 0.9018 [8 per cell]
O4 0.1824 0.1010 0.9468 [8 per cell]
O5 0.2251 0.2500 0.5030 [4 per cell]